LiTl3Au2Br6: computed PXRD pattern (Cu Kα), based on the GGA-PBE geometry in Alexandria.

Top 10 peaks for 2θ = 15–90°, low angle first:
16.3 deg, I = 76, hkl 0 1 1
22.0 deg, I = 100, hkl 1 1 0
27.5 deg, I = 55, hkl 0 2 1
31.2 deg, I = 35, hkl 0 0 3
33.0 deg, I = 47, hkl 2 0 2
35.5 deg, I = 35, hkl 1 2 1
38.5 deg, I = 71, hkl 1 1 3
40.0 deg, I = 27, hkl 2 1 2
44.9 deg, I = 45, hkl 2 2 0
55.7 deg, I = 38, hkl 2 2 3

Structural model:
Unit cell a=8.080 b=8.080 c=8.600 alpha=90.00 beta=90.00 gamma=120.00
Fractional coordinates of all 12 atoms:
Li  0.000  0.000  0.000
Tl  0.000  0.000  0.500
Tl  0.333  0.667  0.154
Tl  0.667  0.333  0.846
Au  0.333  0.667  0.815
Au  0.667  0.333  0.185
Br  0.150  0.301  0.796
Br  0.150  0.850  0.796
Br  0.301  0.150  0.204
Br  0.699  0.850  0.796
Br  0.850  0.150  0.204
Br  0.850  0.699  0.204